(1)
K6Rb9Tl: computed powder XRD pattern (copper Kα), based on the PBE geometry in Alexandria.
Kinematic intensities with the Lorentz-polarization factor, no thermal factor.

Top 6 peaks for 2θ = 10–90°, low angle first:
Position (°2θ)	Rel. int.	h k l
22.15	100.0	1 2 3
25.44	68.2	3 1 0
26.00	31.2	0 0 6
36.29	24.8	2 4 0
36.70	49.4	3 1 6
45.19	25.3	2 4 6

Atomic structure:
Cell: 11.070 11.070 20.559 Å, 90.00 90.00 90.00°
Space group I4/m (No. 87)
Asymmetric unit:
K (0.000, 0.000, 0.174) [4 per cell]
K (0.099, 0.695, 0.000) [8 per cell]
Rb (0.000, 0.000, 0.500) [2 per cell]
Rb (0.117, 0.693, 0.339) [16 per cell]
Tl (0.000, 0.000, 0.000) [2 per cell]

=====

(2)
K2Rb3Tl4: computed powder XRD pattern (copper Kα), based on the PBE geometry in Alexandria.
Kinematic intensities with the Lorentz-polarization factor, no thermal factor.

Top 6 peaks for 2θ = 10–90°, low angle first:
Position (°2θ)	Rel. int.	h k l
13.95	54.9	0 1 1
17.46	51.4	1 1 1
26.55	39.7	0 1 -2
27.64	100.0	-1 1 2
28.61	53.0	2 1 0
31.94	27.7	2 0 -1

Atomic structure:
Cell: 6.240 7.722 9.438 Å, 75.19 89.96 66.24°
Space group P-1 (No. 2)
Asymmetric unit:
K (0.249, 0.003, 0.328) [2 per cell]
Rb (0.000, 0.500, 0.000) [1 per cell]
Rb (0.479, 0.541, 0.721) [2 per cell]
Tl (0.098, 0.300, 0.610) [2 per cell]
Tl (0.264, 0.972, 0.921) [2 per cell]

=====

(3)
K2RbTl: computed powder XRD pattern (copper Kα), based on the PBE geometry in Alexandria.
Kinematic intensities with the Lorentz-polarization factor, no thermal factor.

Top 6 peaks for 2θ = 10–90°, low angle first:
Position (°2θ)	Rel. int.	h k l
11.44	65.3	0 0 6
23.00	44.2	0 0 12
24.27	100.0	0 1 2
25.18	53.7	1 0 4
30.84	42.5	1 0 10
36.33	40.5	0 1 14

Atomic structure:
Cell: 4.2882 4.2882 46.4098 Å, 90.00 90.00 120.00°
Space group R-3m (No. 166, hexagonal axes)
Asymmetric unit:
K (0.0000, 0.0000, 0.0767) [6 per cell]
Rb (0.0000, 0.0000, 0.5000) [3 per cell]
Tl (0.0000, 0.0000, 0.0000) [3 per cell]